Structure and calculated PXRD pattern of Li4Co3Ni3W2O16 (DFT lattice parameters and positions (PBE+U); Cu Kα (weighted mean of Kα1 and Kα2)).

Top 8 peaks for 10 to 80 degrees two-theta, by angle:
2theta  d (Å)  Rel. int.
19.36  4.584  32.7
19.63  4.523  69.1
19.80  4.484  100.0
25.54  3.487  31.8
33.03  2.712  35.1
35.27  2.545  47.0
35.89  2.502  58.1
36.44  2.466  26.7

Atomic structure:
Lattice parameters (Å, degrees): 5.9103 5.9103 9.7063 91.19 91.19 59.28
Element x y z (fractional)
Li: 0.0000 0.0000 0.0000
Li: 0.0017 0.0017 0.5020
Li: 0.3464 0.3464 0.4192
Li: 0.6688 0.6688 0.9128
Co: 0.1667 0.6637 0.7285
Co: 0.6637 0.1667 0.7285
Co: 0.8361 0.8361 0.2291
Ni: 0.1746 0.1746 0.7227
Ni: 0.3449 0.8368 0.2245
Ni: 0.8368 0.3449 0.2245
W: 0.3292 0.3292 0.9990
W: 0.6717 0.6717 0.4961
O: 0.0370 0.4880 0.8643
O: 0.1748 0.1748 0.1009
O: 0.1836 0.6617 0.0959
O: 0.3495 0.3495 0.6291
O: 0.3524 0.8458 0.5929
O: 0.4819 0.4819 0.8514
O: 0.4880 0.0370 0.8643
O: 0.5284 0.5284 0.3600
O: 0.5351 0.9758 0.3623
O: 0.6617 0.1836 0.0959
O: 0.6921 0.6921 0.1287
O: 0.8397 0.8397 0.6081
O: 0.8458 0.3524 0.5929
O: 0.9758 0.5351 0.3623
O: 0.9912 0.9912 0.3105
O: 0.9995 0.9995 0.8103

Structure and calculated PXRD pattern of LiNpCo2O6 (DFT lattice parameters and positions (PBE+U); Cu Kα (weighted mean of Kα1 and Kα2)).

Top 8 peaks for 10 to 80 degrees two-theta, by angle:
2theta  d (Å)  Rel. int.
15.14  5.850  100.0
21.19  4.193  69.3
26.15  3.408  56.9
30.56  2.925  40.2
34.28  2.616  28.1
40.65  2.220  35.7
43.77  2.068  29.1
49.12  1.855  28.7

Atomic structure:
Lattice parameters (Å, degrees): 5.8501 5.8501 4.1931 90.00 90.00 90.00
Element x y z (fractional)
Li: 0.0000 0.0000 0.0000
Np: 0.5000 0.5000 0.0180
Co: 0.0000 0.5000 0.1114
Co: 0.5000 0.0000 0.1114
O: 0.0000 0.0000 0.5076
O: 0.2529 0.2529 0.0465
O: 0.2529 0.7471 0.0465
O: 0.5000 0.5000 0.5221
O: 0.7471 0.2529 0.0465
O: 0.7471 0.7471 0.0465

Structure and calculated PXRD pattern of LiNpCoO6 (DFT lattice parameters and positions (PBE+U); Cu Kα (weighted mean of Kα1 and Kα2)).

Top 8 peaks for 10 to 80 degrees two-theta, by angle:
2theta  d (Å)  Rel. int.
19.49  4.554  32.1
21.34  4.163  100.0
26.94  3.310  68.5
33.47  2.677  33.9
35.23  2.547  49.7
43.48  2.081  16.7
44.41  2.040  31.1
53.15  1.723  44.9

Atomic structure:
Lattice parameters (Å, degrees): 4.6805 4.6805 9.1083 90.00 90.00 90.00
Element x y z (fractional)
Li: 0.0000 0.0000 0.0000
Li: 0.5000 0.5000 0.5000
Np: 0.0000 0.0000 0.3358
Np: 0.5000 0.5000 0.8358
Co: 0.0000 0.0000 0.6719
Co: 0.5000 0.5000 0.1719
O: 0.1833 0.1833 0.5128
O: 0.1929 0.1929 0.8227
O: 0.2088 0.2088 0.1762
O: 0.2912 0.7088 0.6762
O: 0.3071 0.6929 0.3227
O: 0.3167 0.6833 0.0128
O: 0.6833 0.3167 0.0128
O: 0.6929 0.3071 0.3227
O: 0.7088 0.2912 0.6762
O: 0.7912 0.7912 0.1762
O: 0.8071 0.8071 0.8227
O: 0.8167 0.8167 0.5128

Structure and calculated PXRD pattern of Li2Co3O6 (DFT lattice parameters and positions (PBE+U); Cu Kα (weighted mean of Kα1 and Kα2)).

Top 8 peaks for 10 to 80 degrees two-theta, by angle:
2theta  d (Å)  Rel. int.
18.23  4.865  100.0
37.37  2.406  24.1
38.92  2.314  22.2
44.68  2.028  23.2
48.64  1.872  23.4
58.18  1.586  10.1
66.36  1.409  13.9
69.47  1.353  12.1

Atomic structure:
Lattice parameters (Å, degrees): 4.8774 4.8802 9.8652 94.78 94.66 119.97
Element x y z (fractional)
Li: 0.0833 0.2500 0.2486
Li: 0.4163 0.9161 0.2459
Li: 0.5837 0.0839 0.7541
Li: 0.9167 0.7500 0.7514
Co: 0.0000 0.5000 0.0000
Co: 0.1691 0.3357 0.5073
Co: 0.3344 0.1689 0.0000
Co: 0.5000 0.0000 0.5000
Co: 0.6656 0.8311 0.0000
Co: 0.8309 0.6643 0.4927
O: 0.0404 0.8704 0.1030
O: 0.1387 0.6263 0.3977
O: 0.1943 0.0220 0.6025
O: 0.2958 0.8017 0.8970
O: 0.3579 0.5349 0.1041
O: 0.4540 0.2932 0.3975
O: 0.5460 0.7068 0.6025
O: 0.6421 0.4651 0.8959
O: 0.7042 0.1983 0.1030
O: 0.8057 0.9780 0.3975
O: 0.8613 0.3737 0.6023
O: 0.9596 0.1296 0.8970

Structure and calculated PXRD pattern of LiCo8O9 (DFT lattice parameters and positions (PBE+U); Cu Kα (weighted mean of Kα1 and Kα2)).

Top 8 peaks for 10 to 80 degrees two-theta, by angle:
2theta  d (Å)  Rel. int.
36.43  2.466  15.7
36.56  2.458  46.8
42.43  2.130  100.0
61.40  1.510  9.8
61.51  1.508  19.0
61.65  1.505  28.4
73.72  1.285  10.1
73.85  1.283  10.1

Atomic structure:
Lattice parameters (Å, degrees): 5.2107 5.2135 6.7499 75.18 82.63 80.35
Element x y z (fractional)
Li: 0.0000 0.0000 0.0000
Co: 0.1092 0.5549 0.7825
Co: 0.2203 0.1083 0.5579
Co: 0.3322 0.6696 0.3295
Co: 0.4438 0.2199 0.1086
Co: 0.5562 0.7801 0.8914
Co: 0.6678 0.3304 0.6705
Co: 0.7797 0.8917 0.4421
Co: 0.8908 0.4451 0.2175
O: 0.0000 0.5000 0.5000
O: 0.1140 0.0579 0.2840
O: 0.2254 0.6033 0.0565
O: 0.3387 0.1688 0.8297
O: 0.4433 0.7195 0.6121
O: 0.5567 0.2805 0.3879
O: 0.6613 0.8312 0.1703
O: 0.7746 0.3967 0.9435
O: 0.8860 0.9421 0.7160

Structure and calculated PXRD pattern of Li3Co4O8 (DFT lattice parameters and positions (PBE+U); Cu Kα (weighted mean of Kα1 and Kα2)).

Top 8 peaks for 10 to 80 degrees two-theta, by angle:
2theta  d (Å)  Rel. int.
18.40  4.823  100.0
36.90  2.436  35.1
38.59  2.333  7.6
44.33  2.044  39.4
44.53  2.035  19.7
48.59  1.874  7.3
58.07  1.588  9.7
63.96  1.456  10.3

Atomic structure:
Lattice parameters (Å, degrees): 5.7191 5.8270 9.8662 106.53 90.16 118.88
Element x y z (fractional)
Li: 0.0000 0.0000 0.0000
Li: 0.0081 0.0002 0.5048
Li: 0.2590 0.0008 0.7597
Li: 0.4978 0.9950 0.0146
Li: 0.5094 0.9975 0.5175
Li: 0.7434 0.9921 0.2600
Co: 0.0026 0.4998 0.5108
Co: 0.0071 0.4979 0.0103
Co: 0.2467 0.4876 0.2643
Co: 0.2560 0.5000 0.7585
Co: 0.5037 0.4959 0.0089
Co: 0.5040 0.5000 0.5112
Co: 0.7494 0.4959 0.2613
Co: 0.7563 0.5017 0.7588
O: 0.0946 0.7109 0.3829
O: 0.1131 0.7208 0.8720
O: 0.1425 0.2818 0.3965
O: 0.1593 0.2824 0.8863
O: 0.3541 0.7085 0.6263
O: 0.3593 0.7063 0.1276
O: 0.4026 0.2871 0.6413
O: 0.4057 0.2816 0.1364
O: 0.6095 0.7053 0.8786
O: 0.6235 0.7196 0.3834
O: 0.6488 0.2919 0.8876
O: 0.6525 0.2915 0.3927
O: 0.8462 0.7080 0.1352
O: 0.8560 0.7036 0.6291
O: 0.8700 0.2644 0.1436
O: 0.9006 0.2943 0.6414

Structure and calculated PXRD pattern of Li4CoO4 (DFT lattice parameters and positions (PBE+U); Cu Kα (weighted mean of Kα1 and Kα2)).

Top 8 peaks for 10 to 80 degrees two-theta, by angle:
2theta  d (Å)  Rel. int.
19.53  4.546  100.0
22.59  3.936  43.1
23.03  3.862  80.9
23.21  3.833  40.0
33.64  2.664  33.5
36.62  2.454  32.0
54.80  1.675  20.1
55.98  1.643  20.2

Atomic structure:
Lattice parameters (Å, degrees): 4.8529 6.3810 6.4806 90.00 91.58 90.00
Element x y z (fractional)
Li: 0.0000 0.0000 0.0000
Li: 0.0083 0.2370 0.4043
Li: 0.0083 0.7630 0.4043
Li: 0.4706 0.0000 0.1102
Li: 0.4840 0.2925 0.8493
Li: 0.4840 0.7075 0.8493
Li: 0.5183 0.3051 0.3223
Li: 0.5183 0.6949 0.3223
Co: 0.0184 0.5000 0.0804
Co: 0.5251 0.0000 0.5909
O: 0.2307 0.2566 0.0988
O: 0.2307 0.7434 0.0988
O: 0.3313 0.2351 0.5721
O: 0.3313 0.7649 0.5721
O: 0.6591 0.0000 0.8535
O: 0.7331 0.0000 0.3532
O: 0.7710 0.5000 0.8823
O: 0.8209 0.5000 0.3182

Structure and calculated PXRD pattern of Li8Co5O10 (DFT lattice parameters and positions (PBE+U); Cu Kα (weighted mean of Kα1 and Kα2)).

Top 8 peaks for 10 to 80 degrees two-theta, by angle:
2theta  d (Å)  Rel. int.
18.70  4.746  78.4
25.50  3.493  99.9
25.68  3.469  100.0
33.33  2.688  21.1
43.12  2.098  57.9
48.67  1.871  21.0
55.57  1.654  13.3
56.03  1.641  12.8

Atomic structure:
Lattice parameters (Å, degrees): 5.2851 6.5569 15.8034 81.64 84.91 66.92
Element x y z (fractional)
Li: 0.0000 0.0000 0.0000
Li: 0.0250 0.2879 0.5498
Li: 0.1373 0.4614 0.4124
Li: 0.1656 0.4687 0.2463
Li: 0.2800 0.6382 0.1066
Li: 0.2941 0.9331 0.6553
Li: 0.3635 0.8360 0.8096
Li: 0.4348 0.1020 0.3483
Li: 0.4945 0.0110 0.5003
Li: 0.5507 0.2777 0.0542
Li: 0.6174 0.4678 0.9131
Li: 0.6440 0.4807 0.7429
Li: 0.7630 0.6513 0.6028
Li: 0.8204 0.9194 0.1587
Li: 0.8856 0.8326 0.3143
Li: 0.9185 0.1123 0.8474
Co: 0.0900 0.8708 0.4818
Co: 0.2229 0.0585 0.1768
Co: 0.2950 0.2701 0.8768
Co: 0.3955 0.4702 0.5777
Co: 0.5064 0.6635 0.2814
Co: 0.5885 0.8683 0.9826
Co: 0.6994 0.0714 0.6742
Co: 0.8106 0.2668 0.3767
Co: 0.9152 0.4583 0.0811
Co: 0.9810 0.6742 0.7782
O: 0.0075 0.9497 0.7446
O: 0.0709 0.5825 0.5213
O: 0.1370 0.1507 0.4397
O: 0.1853 0.7757 0.2190
O: 0.2416 0.3446 0.1379
O: 0.2707 0.9809 0.9095
O: 0.3259 0.5502 0.8227
O: 0.3888 0.7586 0.5570
O: 0.3987 0.1828 0.6010
O: 0.4580 0.4048 0.3277
O: 0.5317 0.9382 0.2474
O: 0.5880 0.5670 0.0255
O: 0.6402 0.1543 0.9433
O: 0.6608 0.7892 0.7149
O: 0.7208 0.3574 0.6346
O: 0.7811 0.9869 0.4140
O: 0.8466 0.5421 0.3278
O: 0.9085 0.7453 0.0620
O: 0.9216 0.4230 0.8261
O: 0.9256 0.1677 0.1028

Structure and calculated PXRD pattern of Li5CoO4 (DFT lattice parameters and positions (PBE+U); Cu Kα (weighted mean of Kα1 and Kα2)).

Top 8 peaks for 10 to 80 degrees two-theta, by angle:
2theta  d (Å)  Rel. int.
17.30  5.127  100.0
21.31  4.169  96.2
25.48  3.495  90.6
26.72  3.337  28.3
33.57  2.669  41.9
37.26  2.413  34.9
38.43  2.342  43.5
44.14  2.052  28.7

Atomic structure:
Lattice parameters (Å, degrees): 7.1619 8.0091 6.6731 90.00 90.00 90.00
Element x y z (fractional)
Li: 0.0000 0.0000 0.2075
Li: 0.0000 0.0000 0.7925
Li: 0.0277 0.3438 0.2371
Li: 0.0277 0.3438 0.7629
Li: 0.2157 0.9137 0.5000
Li: 0.2399 0.7063 0.0000
Li: 0.2601 0.2063 0.5000
Li: 0.2843 0.4137 0.0000
Li: 0.4723 0.8438 0.2629
Li: 0.4723 0.8438 0.7371
Li: 0.5000 0.5000 0.2925
Li: 0.5000 0.5000 0.7075
Li: 0.5277 0.1562 0.2629
Li: 0.5277 0.1562 0.7371
Li: 0.7157 0.5863 0.0000
Li: 0.7399 0.7937 0.5000
Li: 0.7601 0.2937 0.0000
Li: 0.7843 0.0863 0.5000
Li: 0.9723 0.6562 0.2371
Li: 0.9723 0.6562 0.7629
Co: 0.2237 0.6068 0.5000
Co: 0.2763 0.1068 0.0000
Co: 0.7237 0.8932 0.0000
Co: 0.7763 0.3932 0.5000
O: 0.0162 0.7576 0.5000
O: 0.0296 0.2008 0.0000
O: 0.2163 0.5265 0.2384
O: 0.2163 0.5265 0.7616
O: 0.2837 0.0265 0.2616
O: 0.2837 0.0265 0.7384
O: 0.4704 0.7008 0.5000
O: 0.4838 0.2576 0.0000
O: 0.5162 0.7424 0.0000
O: 0.5296 0.2992 0.5000
O: 0.7163 0.9735 0.2616
O: 0.7163 0.9735 0.7384
O: 0.7837 0.4735 0.2384
O: 0.7837 0.4735 0.7616
O: 0.9704 0.7992 0.0000
O: 0.9838 0.2424 0.5000